This entry pairs a crystal structure of Cs2NdP2Se6 with its theoretical X-ray diffraction stick pattern. Radiation: Cu Kα. Structure: a cell relaxed with PBE.

Peak list (6 most intense, 2θ = 5–70°, by angle)
2θ (°)  I_rel
23.46  27
24.48  36
28.39  51
31.81  100
43.12  31
47.99  36

abc: 7.5828 7.5828 21.8211
angles: 90.00 90.00 120.00
Space group R-3m (No. 166, hexagonal axes)
Unique sites:
Cs1 0.0000 0.0000 0.2399 x6
Nd1 0.0000 0.0000 0.0000 x3
P1 0.0000 0.0000 0.4451 x6
Se1 0.0060 0.5030 0.7591 x18